[1]
Theoretical powder diffractogram of KCr2Os for Cu Kα (weighted mean of Kα1 and Kα2), from the PBE geometry in Alexandria.

```
data_KCr2Os
_symmetry_space_group_name_H-M 'P 4 m m'
_symmetry_Int_Tables_number 99
_symmetry_space_group_name_Hall 'P 4 -2'
_cell_length_a 2.963
_cell_length_b 2.963
_cell_length_c 8.555
_cell_angle_alpha 90.00
_cell_angle_beta 90.00
_cell_angle_gamma 90.00
loop_
_atom_site_label
_atom_site_type_symbol
_atom_site_fract_x
_atom_site_fract_y
_atom_site_fract_z
_atom_site_occupancy
K1 K 0.000 0.000 0.000 1
Cr1 Cr 0.000 0.000 0.479 1
Cr2 Cr 0.500 0.500 0.655 1
Os1 Os 0.500 0.500 0.320 1
```

The 12 most intense peaks (2θ from 10° to 90°), sorted by position:
10.34 deg, d 8.555, rel. 100; 30.16 deg, d 2.963, rel. 11; 31.37 deg, d 2.852, rel. 13; 31.96 deg, d 2.800, rel. 21; 36.90 deg, d 2.436, rel. 38; 43.17 deg, d 2.095, rel. 22; 44.07 deg, d 2.055, rel. 25; 44.52 deg, d 2.035, rel. 12; 52.79 deg, d 1.734, rel. 12; 54.33 deg, d 1.689, rel. 11; 62.70 deg, d 1.482, rel. 12; 75.03 deg, d 1.266, rel. 9

=====

[2]
Theoretical powder diffractogram of K2PaCrS6 for Cu Kα (weighted mean of Kα1 and Kα2), from the PBE geometry in Alexandria.

```
data_K2PaCrS6
_symmetry_space_group_name_H-M 'R 3 m'
_symmetry_Int_Tables_number 160
_symmetry_space_group_name_Hall 'R 3 -2"'
_cell_length_a 6.9972
_cell_length_b 6.9972
_cell_length_c 17.1404
_cell_angle_alpha 90.00
_cell_angle_beta 90.00
_cell_angle_gamma 120.00
loop_
_atom_site_label
_atom_site_type_symbol
_atom_site_fract_x
_atom_site_fract_y
_atom_site_fract_z
_atom_site_occupancy
K1 K 0.0000 0.0000 0.0000 1
K2 K 0.0000 0.0000 0.5000 1
Pa1 Pa 0.0000 0.0000 0.2503 1
Cr1 Cr 0.0000 0.0000 0.7504 1
S1 S 0.0167 0.5083 0.4961 1
S2 S 0.1750 0.3501 0.3378 1
```

The 12 most intense peaks (2θ from 10° to 90°), sorted by position:
15.51 deg, d 5.713, rel. 53; 17.93 deg, d 4.948, rel. 94; 25.46 deg, d 3.499, rel. 100; 29.95 deg, d 2.984, rel. 46; 36.31 deg, d 2.474, rel. 70; 39.70 deg, d 2.270, rel. 28; 40.78 deg, d 2.213, rel. 46; 44.87 deg, d 2.020, rel. 43; 52.30 deg, d 1.749, rel. 46; 55.73 deg, d 1.649, rel. 23; 71.32 deg, d 1.322, rel. 22; 88.34 deg, d 1.106, rel. 20